# 1
The following is a calculated X-ray powder pattern of Pm2ZnAu8. It was derived from a PBE-relaxed structure, using Cu Kα (weighted mean of Kα1 and Kα2).

a b c (Å): 5.1572 6.9858 7.5590
angles (deg): 114.08 106.32 98.03
Space group P-1 (No. 2)
Unique sites:
Pm1 0.2104 0.2045 0.4187 [2 per cell]
Zn1 0.5000 0.5000 0.0000 [1 per cell]
Au1 0.0493 0.2230 0.0028 [2 per cell]
Au2 0.1629 0.6675 0.3320 [2 per cell]
Au3 0.3393 0.6757 0.7585 [2 per cell]
Au4 0.4251 0.0858 0.7686 [2 per cell]

Top 6 peaks for 15 to 90 degrees two-theta, low angle first:
2θ = 35.15°, intensity 100, (2 0 -1); 2θ = 35.89°, intensity 54, (-1 2 1); 2θ = 36.20°, intensity 46, (1 -2 2); 2θ = 39.30°, intensity 49, (1 0 -3); 2θ = 39.47°, intensity 100, (1 2 0); 2θ = 39.63°, intensity 66, (1 2 -3)



# 2
The following is a calculated X-ray powder pattern of Pm6Ti3O14. It was derived from a PBE-relaxed structure, using Cu Kα (weighted mean of Kα1 and Kα2).

a b c (Å): 8.3548 8.3548 5.3201
angles (deg): 90.00 90.00 120.00
Space group P3 (No. 143)
Unique sites:
Pm1 0.0229 0.5568 0.0000 [3 per cell]
Pm2 0.2952 0.0950 0.5215 [3 per cell]
Ti1 0.0000 0.0000 0.9729 [1 per cell]
Ti2 0.3333 0.6667 0.4476 [1 per cell]
Ti3 0.6667 0.3333 0.3515 [1 per cell]
O1 0.0000 0.0000 0.3228 [1 per cell]
O2 0.0748 0.8546 0.8107 [3 per cell]
O3 0.1946 0.4438 0.2886 [3 per cell]
O4 0.3333 0.6667 0.7992 [1 per cell]
O5 0.4308 0.1912 0.1235 [3 per cell]
O6 0.5191 0.4231 0.5847 [3 per cell]

Top 6 peaks for 15 to 90 degrees two-theta, low angle first:
2θ = 20.72°, intensity 22, (0 1 1); 2θ = 27.14°, intensity 32, (2 -1 1); 2θ = 29.87°, intensity 100, (0 2 1); 2θ = 32.75°, intensity 24, (1 2 0); 2θ = 47.69°, intensity 22, (1 2 2); 2θ = 48.48°, intensity 23, (3 1 1)